[1]
For Pm3PrGe3, the GGA-PBE geometry in Alexandria gives the calculated powder XRD pattern in this record (Cu Kα X-rays).
Intensities are scaled so that the largest is 100.

Structural model:
Lattice parameters (Å, degrees): 6.307 6.307 6.307 109.79 109.79 109.79
Fractional coordinates of all 7 atoms:
Pm1 0.043 0.478 0.478
Pm2 0.478 0.043 0.478
Pm3 0.478 0.478 0.043
Pr1 0.911 0.911 0.911
Ge1 0.481 0.981 0.981
Ge2 0.981 0.481 0.981
Ge3 0.981 0.981 0.481

Largest 6 diffraction maxima, by angle, 2θ from 10° to 80°:
2θ = 24.55°, 3.626 Å, rel. 45
2θ = 30.12°, 2.967 Å, rel. 33
2θ = 34.77°, 2.580 Å, rel. 100
2θ = 35.22°, 2.548 Å, rel. 96
2θ = 50.33°, 1.813 Å, rel. 26
2θ = 62.63°, 1.483 Å, rel. 22


[2]
For Tl6CdPb5, the GGA-PBE geometry in Alexandria gives the calculated powder XRD pattern in this record (Cu Kα X-rays).
Intensities are scaled so that the largest is 100.

Structural model:
Lattice parameters (Å, degrees): 7.820 7.820 6.099 97.59 97.59 85.15
Fractional coordinates of all 12 atoms:
Tl1 0.083 0.412 0.748
Tl2 0.248 0.248 0.251
Tl3 0.412 0.083 0.748
Tl4 0.588 0.917 0.252
Tl5 0.752 0.752 0.749
Tl6 0.917 0.588 0.252
Cd1 0.000 0.000 0.500
Pb1 0.166 0.834 0.000
Pb2 0.331 0.669 0.500
Pb3 0.500 0.500 0.000
Pb4 0.669 0.331 0.500
Pb5 0.834 0.166 0.000

Largest 6 diffraction maxima, by angle, 2θ from 10° to 80°:
2θ = 31.14°, 2.872 Å, rel. 100
2θ = 31.58°, 2.833 Å, rel. 32
2θ = 36.20°, 2.481 Å, rel. 45
2θ = 36.31°, 2.474 Å, rel. 22
2θ = 51.89°, 1.762 Å, rel. 24
2θ = 52.48°, 1.744 Å, rel. 24


[3]
For Li2ZrSb2, the GGA-PBE geometry in Alexandria gives the calculated powder XRD pattern in this record (Cu Kα X-rays).
Intensities are scaled so that the largest is 100.

Structural model:
Lattice parameters (Å, degrees): 8.064 8.064 3.254 90.00 90.00 90.00
Fractional coordinates of all 10 atoms:
Li1 0.126 0.374 0.000
Li2 0.374 0.874 0.000
Li3 0.626 0.126 0.000
Li4 0.874 0.626 0.000
Zr1 0.000 0.000 0.500
Zr2 0.500 0.500 0.500
Sb1 0.172 0.672 0.500
Sb2 0.328 0.172 0.500
Sb3 0.672 0.828 0.500
Sb4 0.828 0.328 0.500

Largest 6 diffraction maxima, by angle, 2θ from 10° to 80°:
2θ = 24.69°, 3.606 Å, rel. 100
2θ = 27.40°, 3.254 Å, rel. 71
2θ = 35.19°, 2.550 Å, rel. 62
2θ = 37.21°, 2.416 Å, rel. 80
2θ = 45.17°, 2.007 Å, rel. 54
2θ = 54.76°, 1.676 Å, rel. 30


[4]
For Sr4Sn2Pb5, the GGA-PBE geometry in Alexandria gives the calculated powder XRD pattern in this record (Cu Kα X-rays).
Intensities are scaled so that the largest is 100.

Structural model:
Lattice parameters (Å, degrees): 8.148 4.921 9.616 90.00 94.03 90.00
Fractional coordinates of all 11 atoms:
Sr1 0.221 0.000 0.370
Sr2 0.239 0.000 0.901
Sr3 0.761 0.000 0.099
Sr4 0.779 0.000 0.630
Sn1 0.088 0.500 0.135
Sn2 0.912 0.500 0.865
Pb1 0.139 0.500 0.627
Pb2 0.458 0.500 0.161
Pb3 0.500 0.500 0.500
Pb4 0.542 0.500 0.839
Pb5 0.861 0.500 0.373

Largest 6 diffraction maxima, by angle, 2θ from 10° to 80°:
2θ = 18.03°, 4.921 Å, rel. 100
2θ = 27.69°, 3.222 Å, rel. 64
2θ = 28.49°, 3.133 Å, rel. 73
2θ = 28.72°, 3.108 Å, rel. 73
2θ = 33.06°, 2.709 Å, rel. 28
2θ = 36.52°, 2.460 Å, rel. 57


[5]
For Tb3Cu2Si3, the GGA-PBE geometry in Alexandria gives the calculated powder XRD pattern in this record (Cu Kα X-rays).
Intensities are scaled so that the largest is 100.

Structural model:
Lattice parameters (Å, degrees): 5.607 5.607 14.023 90.00 90.00 136.19
Fractional coordinates of all 16 atoms:
Tb1 0.086 0.914 0.613
Tb2 0.086 0.914 0.887
Tb3 0.370 0.630 0.750
Tb4 0.630 0.370 0.250
Tb5 0.914 0.086 0.113
Tb6 0.914 0.086 0.387
Cu1 0.209 0.791 0.089
Cu2 0.209 0.791 0.411
Cu3 0.791 0.209 0.589
Cu4 0.791 0.209 0.911
Si1 0.330 0.670 0.250
Si2 0.391 0.609 0.540
Si3 0.391 0.609 0.960
Si4 0.609 0.391 0.040
Si5 0.609 0.391 0.460
Si6 0.670 0.330 0.750

Largest 6 diffraction maxima, by angle, 2θ from 10° to 80°:
2θ = 23.78°, 3.741 Å, rel. 22
2θ = 25.62°, 3.477 Å, rel. 35
2θ = 34.18°, 2.623 Å, rel. 69
2θ = 34.47°, 2.602 Å, rel. 100
2θ = 38.84°, 2.319 Å, rel. 30
2θ = 43.25°, 2.092 Å, rel. 32


[6]
For CsCuTeBr6, the GGA-PBE geometry in Alexandria gives the calculated powder XRD pattern in this record (Cu Kα X-rays).
Intensities are scaled so that the largest is 100.

Structural model:
Lattice parameters (Å, degrees): 7.576 7.576 7.779 92.89 92.89 125.06
Fractional coordinates of all 9 atoms:
Cs1 0.000 0.000 0.000
Cu1 0.584 0.416 0.500
Te1 0.296 0.704 0.500
Br1 0.022 0.465 0.214
Br2 0.284 0.373 0.658
Br3 0.412 0.070 0.332
Br4 0.535 0.978 0.786
Br5 0.627 0.716 0.342
Br6 0.930 0.588 0.668

Largest 6 diffraction maxima, by angle, 2θ from 10° to 80°:
2θ = 11.44°, 7.732 Å, rel. 58
2θ = 17.49°, 5.071 Å, rel. 100
2θ = 19.25°, 4.610 Å, rel. 83
2θ = 25.69°, 3.468 Å, rel. 79
2θ = 26.95°, 3.309 Å, rel. 67
2θ = 32.19°, 2.780 Å, rel. 70